Computed powder diffraction line list of La2MnZnO6 for λ = 1.5418 Å (Cu Kα), from the GGA+U geometry in the Materials Project.
Intensities are scaled so that the largest is 100.

Principal peaks in the range 15 to 90 degrees two-theta, by angle:
2θ 22.58, intensity 24, (0 1 2); 2θ 31.84, intensity 98, (1 1 0); 2θ 32.46, intensity 100, (1 0 4); 2θ 39.39, intensity 20, (2 0 2); 2θ 46.11, intensity 58, (0 2 4); 2θ 56.72, intensity 24, (3 0 0); 2θ 57.12, intensity 41, (3 -1 4); 2θ 58.29, intensity 19, (0 1 8); 2θ 67.97, intensity 17, (2 0 8); 2θ 77.02, intensity 17, (1 2 8)

Cell and atoms:
Cell lengths 5.6217, 5.6217, 13.3902 Å; angles 90.00, 90.00, 120.00 degrees
Space group R-3 (No. 148, hexagonal axes)
One atom of each set of equivalent atoms:
La1 0.0000 0.0000 0.2490 x6
Mn1 0.0000 0.0000 0.0000 x3
Zn1 0.0000 0.0000 0.5000 x3
O1 0.0167 0.4362 0.7483 x18



Computed powder diffraction line list of La2Mn3ZnO9 for λ = 1.5418 Å (Cu Kα), from the GGA+U geometry in the Materials Project.
Intensities are scaled so that the largest is 100.

Principal peaks in the range 15 to 90 degrees two-theta, by angle:
2θ 32.22, intensity 24, (6 0 0); 2θ 32.39, intensity 100, (3 2 1); 2θ 32.94, intensity 23, (0 0 2); 2θ 46.18, intensity 16, (0 4 0); 2θ 46.75, intensity 26, (6 0 2); 2θ 57.43, intensity 10, (6 4 0); 2θ 57.56, intensity 14, (9 2 1); 2θ 57.88, intensity 11, (0 4 2); 2θ 58.48, intensity 21, (3 2 3); 2θ 67.81, intensity 14, (6 4 2)

Cell and atoms:
Cell lengths 16.6684, 7.8631, 5.4381 Å; angles 90.00, 90.00, 90.00 degrees
Space group Pnma (No. 62)
One atom of each set of equivalent atoms:
La1 0.0088 0.2500 0.0009 x4
La2 0.1741 0.2500 0.4754 x4
Mn1 0.0000 0.0000 0.5000 x4
Mn2 0.1658 0.5048 0.9873 x8
Zn1 0.1927 0.7500 0.4711 x4
O1 0.0076 0.2500 0.5548 x4
O2 0.0684 0.5291 0.7916 x8
O3 0.0957 0.0438 0.2618 x8
O4 0.1642 0.2500 0.9140 x4
O5 0.1743 0.7500 0.1116 x4
O6 0.2318 0.5551 0.6839 x8



Computed powder diffraction line list of La2NiMoO6 for λ = 1.5418 Å (Cu Kα), from the GGA+U geometry in the Materials Project.
Intensities are scaled so that the largest is 100.

Principal peaks in the range 15 to 90 degrees two-theta, by angle:
2θ 22.25, intensity 4, (2 0 0); 2θ 31.67, intensity 100, (2 2 0); 2θ 39.05, intensity 10, (2 2 2); 2θ 45.40, intensity 31, (4 0 0); 2θ 51.12, intensity 2, (4 2 0); 2θ 56.41, intensity 39, (4 2 2); 2θ 66.15, intensity 19, (4 4 0); 2θ 75.20, intensity 17, (6 2 0); 2θ 79.58, intensity 3, (6 2 2); 2θ 83.89, intensity 6, (4 4 4)

Cell and atoms:
Cell lengths 7.9908, 7.9908, 7.9908 Å; angles 90.00, 90.00, 90.00 degrees
Space group Fm-3m (No. 225)
One atom of each set of equivalent atoms:
La1 0.2500 0.2500 0.2500 x8
Ni1 0.0000 0.0000 0.0000 x4
Mo1 0.0000 0.0000 0.5000 x4
O1 0.0000 0.0000 0.2487 x24